[1]
Starting from a cell relaxed with GGA-PBE, the XRD peak list of Zr2BS was calculated for Cu Kα (weighted mean of Kα1 and Kα2).
Peak positions follow from Bragg's law for the DFT cell and can differ from measured ones.

Atomic structure:
Cell lengths 3.5211, 3.5211, 12.3501 Å; angles 90.00, 90.00, 120.00 degrees
Space group P6_3/mmc (No. 194)
One atom of each set of equivalent atoms:
1 Zr 0.3333 0.6667 0.1055
2 B 0.0000 0.0000 0.0000
3 S 0.3333 0.6667 0.7500

Top 6 peaks for 10° ≤ 2θ ≤ 90°, in order of rising 2θ:
d = 3.049 Å, intensity 31, (1 0 0)
d = 2.960 Å, intensity 27, (1 0 1)
d = 2.450 Å, intensity 100, (1 0 3)
d = 1.761 Å, intensity 29, (1 1 0)
d = 1.528 Å, intensity 24, (1 0 7)
d = 1.430 Å, intensity 17, (2 0 3)

[2]
Starting from a cell relaxed with GGA-PBE, the XRD peak list of B3SbW4 was calculated for Cu Kα (weighted mean of Kα1 and Kα2).
Peak positions follow from Bragg's law for the DFT cell and can differ from measured ones.

Atomic structure:
Cell lengths 3.2053, 3.2053, 23.7859 Å; angles 90.00, 90.00, 120.00 degrees
Space group P6_3/mmc (No. 194)
One atom of each set of equivalent atoms:
1 B 0.0000 0.0000 0.0000
2 B 0.3333 0.6667 0.1087
3 Sb 0.3333 0.6667 0.7500
4 W 0.0000 0.0000 0.1564
5 W 0.3333 0.6667 0.5553

Top 6 peaks for 10° ≤ 2θ ≤ 90°, in order of rising 2θ:
d = 2.515 Å, intensity 60, (1 0 4)
d = 2.398 Å, intensity 82, (1 0 5)
d = 2.379 Å, intensity 46, (0 0 10)
d = 2.274 Å, intensity 100, (1 0 6)
d = 1.603 Å, intensity 52, (1 1 0)
d = 1.329 Å, intensity 45, (1 1 10)

[3]
Starting from a cell relaxed with GGA-PBE, the XRD peak list of TaBSe was calculated for Cu Kα (weighted mean of Kα1 and Kα2).
Peak positions follow from Bragg's law for the DFT cell and can differ from measured ones.

Atomic structure:
Cell lengths 3.2545, 3.2545, 32.3617 Å; angles 90.00, 90.00, 120.00 degrees
Space group R-3m (No. 166, hexagonal axes)
One atom of each set of equivalent atoms:
1 Ta 0.0000 0.0000 0.0481
2 B 0.0000 0.0000 0.3336
3 Se 0.0000 0.0000 0.2297

Top 6 peaks for 10° ≤ 2θ ≤ 90°, in order of rising 2θ:
d = 2.808 Å, intensity 100, (1 0 1)
d = 2.662 Å, intensity 46, (1 0 4)
d = 2.407 Å, intensity 53, (1 0 7)
d = 2.125 Å, intensity 61, (1 0 10)
d = 2.035 Å, intensity 85, (0 1 11)
d = 1.627 Å, intensity 44, (1 1 0)

[4]
Starting from a cell relaxed with GGA-PBE, the XRD peak list of Zr4SiB3 was calculated for Cu Kα (weighted mean of Kα1 and Kα2).
Peak positions follow from Bragg's law for the DFT cell and can differ from measured ones.

Atomic structure:
Cell lengths 3.4475, 3.4475, 25.0156 Å; angles 90.00, 90.00, 120.00 degrees
Space group P6_3/mmc (No. 194)
One atom of each set of equivalent atoms:
1 Zr 0.0000 0.0000 0.1686
2 Zr 0.3333 0.6667 0.0579
3 Si 0.3333 0.6667 0.2500
4 B 0.0000 0.0000 0.0000
5 B 0.3333 0.6667 0.6161

Top 6 peaks for 10° ≤ 2θ ≤ 90°, in order of rising 2θ:
d = 3.127 Å, intensity 27, (0 0 8)
d = 2.904 Å, intensity 50, (1 0 2)
d = 2.811 Å, intensity 25, (1 0 3)
d = 2.564 Å, intensity 59, (1 0 5)
d = 2.427 Å, intensity 100, (1 0 6)
d = 1.724 Å, intensity 44, (1 1 0)

[5]
Starting from a cell relaxed with GGA-PBE, the XRD peak list of SmSnB4 was calculated for Cu Kα (weighted mean of Kα1 and Kα2).
Peak positions follow from Bragg's law for the DFT cell and can differ from measured ones.

Atomic structure:
Cell lengths 3.238, 5.352, 8.534 Å; angles 90.00, 90.00, 90.00 degrees
Space group Immm (No. 71)
One atom of each set of equivalent atoms:
1 Sm 0.000 0.000 0.000
2 Sn 0.000 0.000 0.500
3 B 0.000 0.328 0.259

Top 6 peaks for 10° ≤ 2θ ≤ 90°, in order of rising 2θ:
d = 4.267 Å, intensity 80, (0 0 2)
d = 2.770 Å, intensity 65, (1 1 0)
d = 2.676 Å, intensity 29, (0 2 0)
d = 2.324 Å, intensity 100, (1 1 2)
d = 2.267 Å, intensity 47, (0 2 2)
d = 1.690 Å, intensity 31, (1 1 4)

[6]
Starting from a cell relaxed with GGA-PBE, the XRD peak list of SmTmB was calculated for Cu Kα (weighted mean of Kα1 and Kα2).
Peak positions follow from Bragg's law for the DFT cell and can differ from measured ones.

Atomic structure:
Cell lengths 6.426, 6.426, 6.426 Å; angles 90.00, 90.00, 90.00 degrees
Space group F-43m (No. 216)
One atom of each set of equivalent atoms:
1 Sm 0.000 0.000 0.000
2 Tm 0.000 0.000 0.500
3 B 0.250 0.250 0.250

Top 6 peaks for 10° ≤ 2θ ≤ 90°, in order of rising 2θ:
d = 3.213 Å, intensity 100, (2 0 0)
d = 2.272 Å, intensity 86, (2 2 0)
d = 1.855 Å, intensity 28, (2 2 2)
d = 1.607 Å, intensity 15, (4 0 0)
d = 1.437 Å, intensity 37, (4 2 0)
d = 1.312 Å, intensity 30, (4 2 2)

[7]
Starting from a cell relaxed with GGA-PBE, the XRD peak list of SrTm2B2 was calculated for Cu Kα (weighted mean of Kα1 and Kα2).
Peak positions follow from Bragg's law for the DFT cell and can differ from measured ones.

Atomic structure:
Cell lengths 8.030, 9.014, 5.836 Å; angles 90.00, 90.00, 90.00 degrees
Space group Iba2 (No. 45)
One atom of each set of equivalent atoms:
1 Sr 0.000 0.000 0.000
2 Tm 0.130 0.361 0.251
3 B 0.187 0.362 0.749

Top 6 peaks for 10° ≤ 2θ ≤ 90°, in order of rising 2θ:
d = 3.260 Å, intensity 94, (1 2 1)
d = 3.105 Å, intensity 100, (2 1 1)
d = 2.814 Å, intensity 54, (1 3 0)
d = 2.624 Å, intensity 60, (1 1 2)
d = 2.566 Å, intensity 34, (3 1 0)
d = 1.784 Å, intensity 29, (0 4 2)

[8]
Starting from a cell relaxed with GGA-PBE, the XRD peak list of TaB4 was calculated for Cu Kα (weighted mean of Kα1 and Kα2).
Peak positions follow from Bragg's law for the DFT cell and can differ from measured ones.

Atomic structure:
Cell lengths 5.3052, 5.3052, 6.7794 Å; angles 90.00, 90.00, 120.00 degrees
Space group P6_3/mmc (No. 194)
One atom of each set of equivalent atoms:
1 Ta 0.0000 0.0000 0.2500
2 Ta 0.3333 0.6667 0.2500
3 B 0.0000 0.3369 0.0000
4 B 0.3333 0.6667 0.6248

Top 6 peaks for 10° ≤ 2θ ≤ 90°, in order of rising 2θ:
d = 3.803 Å, intensity 71, (1 0 1)
d = 3.390 Å, intensity 40, (0 0 2)
d = 2.653 Å, intensity 84, (1 1 0)
d = 2.089 Å, intensity 100, (1 1 2)
d = 1.531 Å, intensity 22, (3 0 0)
d = 1.428 Å, intensity 22, (1 1 4)

What did the first record say?
Starting from a cell relaxed with GGA-PBE, the XRD peak list of Zr2BS was calculated for Cu Kα (weighted mean of Kα1 and Kα2).
Peak positions follow from Bragg's law for the DFT cell and can differ from measured ones.

Atomic structure:
Cell lengths 3.5211, 3.5211, 12.3501 Å; angles 90.00, 90.00, 120.00 degrees
Space group P6_3/mmc (No. 194)
One atom of each set of equivalent atoms:
1 Zr 0.3333 0.6667 0.1055
2 B 0.0000 0.0000 0.0000
3 S 0.3333 0.6667 0.7500

Top 6 peaks for 10° ≤ 2θ ≤ 90°, in order of rising 2θ:
d = 3.049 Å, intensity 31, (1 0 0)
d = 2.960 Å, intensity 27, (1 0 1)
d = 2.450 Å, intensity 100, (1 0 3)
d = 1.761 Å, intensity 29, (1 1 0)
d = 1.528 Å, intensity 24, (1 0 7)
d = 1.430 Å, intensity 17, (2 0 3)

Please write out number 8 again, unchanged.
Starting from a cell relaxed with GGA-PBE, the XRD peak list of TaB4 was calculated for Cu Kα (weighted mean of Kα1 and Kα2).
Peak positions follow from Bragg's law for the DFT cell and can differ from measured ones.

Atomic structure:
Cell lengths 5.3052, 5.3052, 6.7794 Å; angles 90.00, 90.00, 120.00 degrees
Space group P6_3/mmc (No. 194)
One atom of each set of equivalent atoms:
1 Ta 0.0000 0.0000 0.2500
2 Ta 0.3333 0.6667 0.2500
3 B 0.0000 0.3369 0.0000
4 B 0.3333 0.6667 0.6248

Top 6 peaks for 10° ≤ 2θ ≤ 90°, in order of rising 2θ:
d = 3.803 Å, intensity 71, (1 0 1)
d = 3.390 Å, intensity 40, (0 0 2)
d = 2.653 Å, intensity 84, (1 1 0)
d = 2.089 Å, intensity 100, (1 1 2)
d = 1.531 Å, intensity 22, (3 0 0)
d = 1.428 Å, intensity 22, (1 1 4)

What is the formula in the fourth record?
Zr4SiB3